(1)
This entry pairs a crystal structure of SiBPN4 with its calculated powder X-ray diffraction pattern. Radiation: Cu Kα (weighted mean of Kα1 and Kα2). Structure: the GGA-PBE geometry in Alexandria.
No peak broadening, texture or thermal motion is included.

Main lines, most intense first (5° ≤ 2θ ≤ 70°):
2θ/deg, I_rel
19.52, 1000
23.23, 777
39.11, 381
25.87, 286
40.04, 178
45.98, 140
34.60, 128
44.07, 127

```
7
Lattice="2.3033 1.3298 4.5468 -2.3033 1.3298 4.5468 0.0000 -2.6596 4.5468" Properties=species:S:1:pos:R:3 pbc="T T T"
Si 0.0000 0.0000 0.0000
B 0.0000 0.0000 5.2776
P 0.0000 0.0000 10.4713
N -0.7665 -1.2329 5.2486
N -0.6845 1.2803 5.2486
N 1.4510 -0.0474 5.2486
N 0.0000 0.0000 12.0044
```

=====

(2)
This entry pairs a crystal structure of Ce2AsSe with its calculated powder X-ray diffraction pattern. Radiation: Cu Kα (weighted mean of Kα1 and Kα2). Structure: the GGA-PBE geometry in Alexandria.
No peak broadening, texture or thermal motion is included.

Main lines, most intense first (5° ≤ 2θ ≤ 70°):
2θ/deg, I_rel
29.98, 1000
42.91, 746
53.22, 263
25.88, 147
62.29, 122
50.79, 72
68.61, 29

```
16
Lattice="5.9592 0.0000 0.0000 0.0000 5.9592 0.0000 0.0000 0.0000 11.9352" Properties=species:S:1:pos:R:3 pbc="T T T"
Ce 0.0000 1.4898 1.4698
Ce 0.0000 1.4898 7.4816
Ce 0.0000 4.4694 4.4536
Ce 0.0000 4.4694 10.4653
Ce 2.9796 1.4898 4.4978
Ce 2.9796 1.4898 10.4212
Ce 2.9796 4.4694 1.5140
Ce 2.9796 4.4694 7.4374
As 0.0000 1.4898 10.4433
As 0.0000 4.4694 1.4919
As 2.9796 1.4898 7.4595
As 2.9796 4.4694 4.4757
Se 0.0000 1.4898 4.4757
Se 0.0000 4.4694 7.4595
Se 2.9796 1.4898 1.4919
Se 2.9796 4.4694 10.4433
```

=====

(3)
This entry pairs a crystal structure of RbGaIBr with its calculated powder X-ray diffraction pattern. Radiation: Cu Kα (weighted mean of Kα1 and Kα2). Structure: the GGA-PBE geometry in Alexandria.
No peak broadening, texture or thermal motion is included.

Main lines, most intense first (5° ≤ 2θ ≤ 70°):
2θ/deg, I_rel
28.14, 1000
37.84, 621
33.32, 519
22.75, 503
59.15, 229
47.81, 226
25.95, 212
62.52, 200

```
12
Lattice="4.7557 0.0000 0.0000 -2.3779 4.1186 0.0000 0.0000 0.0000 24.8553" Properties=species:S:1:pos:R:3 pbc="T T T"
Rb 0.0000 0.0000 0.0000
Rb 0.0000 2.7457 16.5702
Rb 2.3779 1.3729 8.2851
Ga 0.0000 0.0000 20.9309
Ga 0.0000 2.7457 12.6458
Ga 2.3779 1.3729 4.3608
I 0.0000 0.0000 10.7772
I 0.0000 2.7457 2.4921
I 2.3779 1.3729 19.0623
Br 0.0000 0.0000 6.1889
Br 0.0000 2.7457 22.7591
Br 2.3779 1.3729 14.4740
```

=====

(4)
This entry pairs a crystal structure of PmB2Rh5 with its calculated powder X-ray diffraction pattern. Radiation: Cu Kα (weighted mean of Kα1 and Kα2). Structure: the GGA-PBE geometry in Alexandria.
No peak broadening, texture or thermal motion is included.

Main lines, most intense first (5° ≤ 2θ ≤ 70°):
2θ/deg, I_rel
35.87, 1000
39.26, 860
35.54, 334
48.44, 321
46.19, 273
69.17, 216
59.61, 149
56.69, 116

```
16
Lattice="3.9305 0.0000 0.0000 0.0000 5.9076 0.0000 0.0000 0.0000 9.7425" Properties=species:S:1:pos:R:3 pbc="T T T"
Pm 0.0000 0.0000 0.0000
Pm 1.9652 2.9538 4.8712
B 0.0000 2.9538 2.0914
B 0.0000 2.9538 7.6511
B 1.9652 0.0000 2.7799
B 1.9652 0.0000 6.9626
Rh 0.0000 1.3064 3.3871
Rh 0.0000 1.3064 6.3553
Rh 0.0000 2.9538 0.0000
Rh 0.0000 4.6012 3.3871
Rh 0.0000 4.6012 6.3553
Rh 1.9652 0.0000 4.8712
Rh 1.9652 1.6474 1.4841
Rh 1.9652 1.6474 8.2583
Rh 1.9652 4.2602 1.4841
Rh 1.9652 4.2602 8.2583
```